(1)
Diffraction record for Mo3WSe4S4. The powder XRD pattern is theoretical, not measured: it uses a PBE-relaxed structure and Cu Kα.
Kinematic intensities with the Lorentz-polarization factor, no thermal factor.

Largest 10 diffraction maxima, in order of rising 2θ, 15° ≤ 2θ ≤ 90°:
d (Å), two_theta, Rel. int.
2.819, 31.74, 50
2.634, 34.03, 22
2.406, 37.38, 100
2.240, 40.26, 16
2.000, 45.35, 61
1.925, 47.22, 20
1.628, 56.52, 34
1.590, 58.00, 15
1.349, 69.73, 16
1.194, 80.45, 17

```
data_Mo3WSe4S4
_symmetry_space_group_name_H-M 'P 3 m 1'
_symmetry_Int_Tables_number 156
_symmetry_space_group_name_Hall 'P 3 -2"'
_cell_length_a 3.2570
_cell_length_b 3.2570
_cell_length_c 36.8600
_cell_angle_alpha 90.00
_cell_angle_beta 90.00
_cell_angle_gamma 120.00
loop_
_atom_site_label
_atom_site_type_symbol
_atom_site_fract_x
_atom_site_fract_y
_atom_site_fract_z
Mo1 Mo 0.0000 0.0000 0.0000
Mo2 Mo 0.0000 0.0000 0.3758
Mo3 Mo 0.3333 0.6667 0.1879
W1 W 0.3333 0.6667 0.5637
Se1 Se 0.0000 0.0000 0.1419
Se2 Se 0.0000 0.0000 0.2339
Se3 Se 0.0000 0.0000 0.5173
Se4 Se 0.0000 0.0000 0.6100
S1 S 0.3333 0.6667 0.0419
S2 S 0.3333 0.6667 0.3339
S3 S 0.3333 0.6667 0.4176
S4 S 0.3333 0.6667 0.9581
```

(2)
Diffraction record for TbI3O9. The powder XRD pattern is theoretical, not measured: it uses a PBE-relaxed structure and Cu Kα.
Kinematic intensities with the Lorentz-polarization factor, no thermal factor.

Largest 10 diffraction maxima, in order of rising 2θ, 15° ≤ 2θ ≤ 90°:
d (Å), two_theta, Rel. int.
3.491, 25.52, 75
3.338, 26.71, 75
3.093, 28.86, 82
2.956, 30.23, 100
2.412, 37.27, 79
1.876, 48.52, 23
1.862, 48.92, 27
1.844, 49.41, 25
1.751, 52.23, 20
1.689, 54.33, 25

```
data_TbI3O9
_symmetry_space_group_name_H-M 'P m m n'
_symmetry_Int_Tables_number 59
_cell_length_a 6.676
_cell_length_b 8.229
_cell_length_c 6.594
_cell_angle_alpha 90.00
_cell_angle_beta 90.00
_cell_angle_gamma 90.00
loop_
_symmetry_equiv_pos_as_xyz
'x,y,z'
'-x,-y,-z'
'-x+1/2,-y+1/2,z'
'x+1/2,y+1/2,-z'
'x+1/2,-y,-z'
'-x+1/2,y,z'
'-x,y+1/2,-z'
'x,-y+1/2,z'
loop_
_atom_site_label
_atom_site_type_symbol
_atom_site_fract_x
_atom_site_fract_y
_atom_site_fract_z
Tb1 Tb 0.250 0.250 0.124
I1 I 0.250 0.541 0.632
I2 I 0.250 0.750 0.103
O1 O 0.060 0.610 0.964
O2 O 0.065 0.750 0.592
O3 O 0.250 0.016 0.355
O4 O 0.250 0.250 0.769
```

(3)
Diffraction record for RbZn2HSe2O7. The powder XRD pattern is theoretical, not measured: it uses a PBE-relaxed structure and Cu Kα.
Kinematic intensities with the Lorentz-polarization factor, no thermal factor.

Largest 10 diffraction maxima, in order of rising 2θ, 15° ≤ 2θ ≤ 90°:
d (Å), two_theta, Rel. int.
3.568, 24.96, 39
3.392, 26.27, 100
3.351, 26.60, 23
3.308, 26.95, 50
3.234, 27.58, 33
3.163, 28.22, 20
3.105, 28.75, 22
2.958, 30.21, 21
2.514, 35.71, 48
2.260, 39.90, 25

```
data_RbZn2HSe2O7
_symmetry_space_group_name_H-M 'P -1'
_symmetry_Int_Tables_number 2
_symmetry_space_group_name_Hall '-P 1'
_cell_length_a 5.029
_cell_length_b 7.588
_cell_length_c 12.113
_cell_angle_alpha 90.00
_cell_angle_beta 101.97
_cell_angle_gamma 109.19
loop_
_atom_site_label
_atom_site_type_symbol
_atom_site_fract_x
_atom_site_fract_y
_atom_site_fract_z
Rb1 Rb 0.034 0.378 0.209
Zn1 Zn 0.300 0.009 0.143
Zn2 Zn 0.420 0.703 0.575
H1 H 0.423 0.981 0.345
Se1 Se 0.143 0.259 0.594
Se2 Se 0.370 0.257 0.926
O1 O 0.128 0.038 0.877
O2 O 0.203 0.297 0.460
O3 O 0.220 0.763 0.430
O4 O 0.314 0.480 0.664
O5 O 0.315 0.761 0.102
O6 O 0.424 0.250 0.072
O7 O 0.472 0.095 0.304
```